Starting from the GGA-PBE geometry in Alexandria, the powder diffractogram of Al2V3 was calculated for Cu Ka.
Lines closer than 0.1° are merged.

Structure:
```
data_Al2V3
_cell_length_a 9.249
_cell_length_b 4.949
_cell_length_c 6.655
_cell_angle_alpha 90.00
_cell_angle_beta 111.22
_cell_angle_gamma 90.00
_space_group_name_H-M_alt 'C 1 2/c 1'
_space_group_IT_number 15
loop_
_space_group_symop_operation_xyz
'x,y,z'
'-x,-y,-z'
'-x,y,-z+1/2'
'x,-y,z+1/2'
'x+1/2,y+1/2,z'
'-x+1/2,-y+1/2,-z'
'-x+1/2,y+1/2,-z+1/2'
'x+1/2,-y+1/2,z+1/2'
loop_
_atom_site_label
_atom_site_fract_x
_atom_site_fract_y
_atom_site_fract_z
Al1 0.196 0.158 0.148
V1 0.000 0.140 0.750
V2 0.100 0.360 0.455
```

Most intense lines, 5 to 70 degrees two-theta, by intensity:
| two_theta | Rel. int. | h k l |
| --- | --- | --- |
| 41.99 | 100 | 2 2 -1 |
| 43.24 | 61 | 3 1 1 |
| 41.47 | 56 | 4 0 -2 |
| 45.11 | 53 | 1 1 -3 |
| 38.76 | 51 | 1 1 2 |
| 66.95 | 20 | 1 3 2 |
| 20.61 | 16 | 2 0 0 |
| 56.51 | 16 | 5 1 0 |
| 59.57 | 13 | 3 1 -4 |
| 27.31 | 7 | 1 1 1 |